Calculated XRD peak list of Np2CuPt3 for λ = 1.5418 Å (Cu Kα), from a crystal structure in Alexandria, relaxed with GGA-PBE.
Lines closer than 0.1° are merged.

Structural model:
```
12
Lattice="5.528 0.000 0.000 -2.764 4.787 0.000 0.000 0.000 8.282" Properties=species:S:1:pos:R:3 pbc="T T T"
Np 0.000 3.192 0.601
Np 0.000 3.192 3.539
Np 2.764 1.596 4.742
Np 2.764 1.596 7.680
Cu 0.000 0.000 0.000
Cu 0.000 0.000 4.141
Pt 0.000 1.611 6.211
Pt -1.369 3.982 6.211
Pt 1.395 0.806 2.070
Pt 1.369 3.982 6.211
Pt 4.133 0.806 2.070
Pt 2.764 3.176 2.070
```

Peak list (10 most intense, 2θ = 10–90°, sorted by position)
- 2θ 28.50, rel. 8, (1 0 2)
- 2θ 32.39, rel. 13, (1 1 0)
- 2θ 37.60, rel. 62, (1 0 3)
- 2θ 39.18, rel. 100, (2 0 1)
- 2θ 43.70, rel. 9, (0 0 4)
- 2θ 61.25, rel. 22, (2 1 3)
- 2θ 62.36, rel. 10, (3 0 2)
- 2θ 67.83, rel. 21, (2 2 0)
- 2θ 68.94, rel. 20, (2 0 5)
- 2θ 80.24, rel. 18, (3 1 3)